# 1
The following is a simulated X-ray powder pattern of HoMgSb2O6. It was derived from a PBE-relaxed structure, using Cu Kα, 1.54184 Å.

Atomic structure:
Lattice parameters (Å, degrees): 8.2907 5.8602 5.5956 90.00 90.00 90.00
Positions (direct):
Ho (0.0000, 0.1804, 0.0000)
Ho (0.5000, 0.8196, 0.5000)
Mg (0.0000, 0.7343, 0.4822)
Mg (0.5000, 0.2657, 0.9822)
Sb (0.2484, 0.7352, 0.9858)
Sb (0.2516, 0.2648, 0.4858)
Sb (0.7484, 0.2648, 0.4858)
Sb (0.7516, 0.7352, 0.9858)
O (0.0000, 0.3442, 0.6268)
O (0.0000, 0.8262, 0.8285)
O (0.1675, 0.9280, 0.2901)
O (0.1791, 0.4265, 0.1420)
O (0.3209, 0.5735, 0.6420)
O (0.3325, 0.0720, 0.7901)
O (0.5000, 0.1738, 0.3285)
O (0.5000, 0.6558, 0.1268)
O (0.6675, 0.0720, 0.7901)
O (0.6791, 0.5735, 0.6420)
O (0.8209, 0.4265, 0.1420)
O (0.8325, 0.9280, 0.2901)

Principal peaks in the range 10 to 90 degrees two-theta, low angle first:
2θ (°), Rel. int., (hkl)
19.1, 21, 1 0 1
30.5, 20, 0 2 0
30.9, 100, 2 1 1
32.0, 22, 0 0 2
44.8, 17, 0 2 2
56.3, 25, 2 1 3

***

# 2
The following is a simulated X-ray powder pattern of LiPm3. It was derived from a PBE-relaxed structure, using Cu Kα, 1.54184 Å.

Atomic structure:
Lattice parameters (Å, degrees): 4.9989 4.9989 4.9989 90.00 90.00 90.00
Positions (direct):
Li (0.0000, 0.0000, 0.0000)
Pm (0.0000, 0.5000, 0.5000)
Pm (0.5000, 0.0000, 0.5000)
Pm (0.5000, 0.5000, 0.0000)

Principal peaks in the range 10 to 90 degrees two-theta, low angle first:
2θ (°), Rel. int., (hkl)
17.7, 29, 1 0 0
25.2, 26, 1 1 0
31.0, 100, 1 1 1
35.9, 50, 2 0 0
51.7, 36, 2 2 0
61.5, 42, 3 1 1